No. 1
Structure and computed PXRD pattern of Sr12TlCd6 (a PBE-relaxed structure; Cu Kα, 1.54184 Å).
Intensities are scaled so that the largest is 100.

Peak list (10 most intense, 10 to 80 degrees two-theta, by angle)
2theta  I_rel  index
15.39  21  2 0 0
26.82  25  2 2 2
29.02  100  3 2 1
31.07  18  4 0 0
33.01  20  4 1 1
39.93  28  4 1 3
47.37  13  6 0 0
48.76  20  5 3 2
51.44  13  5 4 1
56.52  16  5 4 3

Atomic structure:
a = 11.514 Å, b = 11.514 Å, c = 11.514 Å
α = 90.00°, β = 90.00°, γ = 90.00°
Space group Im-3 (No. 204)
Inequivalent atoms, fractional coordinates:
Sr  0.000  0.183  0.286
Tl  0.000  0.000  0.000
Cd  0.000  0.372  0.500



No. 2
Structure and computed PXRD pattern of Sr3Tl2Cd3 (a PBE-relaxed structure; Cu Kα, 1.54184 Å).
Intensities are scaled so that the largest is 100.

Peak list (10 most intense, 10 to 80 degrees two-theta, by angle)
2theta  I_rel  index
17.43  35  0 0 1
29.00  100  1 1 1
32.00  33  2 0 1
35.27  28  0 0 2
35.47  38  2 1 0
39.78  34  2 1 1
40.41  21  3 0 0
50.89  27  2 1 2
54.70  18  3 0 2
66.58  24  4 1 1

Atomic structure:
a = 7.7324 Å, b = 7.7324 Å, c = 5.0891 Å
α = 90.00°, β = 90.00°, γ = 120.00°
Space group P-62m (No. 189)
Inequivalent atoms, fractional coordinates:
Sr  0.0000  0.6241  0.0000
Tl  0.3333  0.6667  0.5000
Cd  0.0000  0.2245  0.5000